1.
# Dy3Tm6Pu
Computed X-ray diffraction stick pattern, CuKα. Input: a cell relaxed with PBE.
Kinematic intensities with the Lorentz-polarization factor, no thermal factor.

Structural model:
a = 6.7545 Å, b = 6.7545 Å, c = 6.6159 Å
α = 90.05°, β = 90.05°, γ = 95.30°
Element x y z (fractional)
Dy: 0.0000 0.0000 0.0000
Dy: 0.3080 0.0984 0.3317
Dy: 0.9016 0.6920 0.6683
Tm: 0.1118 0.5682 0.2458
Tm: 0.2247 0.3817 0.8016
Tm: 0.4318 0.8882 0.7542
Tm: 0.6183 0.7753 0.1984
Tm: 0.6759 0.3241 0.0000
Tm: 0.8392 0.1608 0.5000
Pu: 0.5319 0.4681 0.5000

Most intense lines, 2θ = 10–80°, sorted by position:
Position (°2θ), d [Å], Rel. int.
29.80, 2.998, 344
30.10, 2.969, 457
30.81, 2.902, 399
31.66, 2.826, 1000
33.49, 2.675, 523
33.72, 2.658, 150
42.58, 2.123, 200
50.66, 1.802, 150
59.51, 1.553, 141
62.49, 1.486, 137


2.
# Dy8Tm4Pu
Computed X-ray diffraction stick pattern, CuKα. Input: a cell relaxed with PBE.
Kinematic intensities with the Lorentz-polarization factor, no thermal factor.

Structural model:
a = 7.6614 Å, b = 7.6614 Å, c = 7.6614 Å
α = 90.12°, β = 90.12°, γ = 90.12°
Element x y z (fractional)
Dy: 0.2444 0.2444 0.7546
Dy: 0.2444 0.7546 0.2444
Dy: 0.2447 0.2447 0.2447
Dy: 0.2454 0.7556 0.7556
Dy: 0.7546 0.2444 0.2444
Dy: 0.7553 0.7553 0.7553
Dy: 0.7556 0.2454 0.7556
Dy: 0.7556 0.7556 0.2454
Tm: 0.0000 0.0000 0.0000
Tm: 0.0000 0.5000 0.5000
Tm: 0.5000 0.0000 0.5000
Tm: 0.5000 0.5000 0.0000
Pu: 0.5000 0.5000 0.5000

Most intense lines, 2θ = 10–80°, sorted by position:
Position (°2θ), d [Å], Rel. int.
16.36, 5.417, 62
20.07, 4.423, 94
26.01, 3.426, 59
33.07, 2.709, 1000
47.47, 1.915, 183
59.03, 1.565, 286
59.18, 1.561, 94
69.31, 1.356, 59
78.99, 1.212, 82
79.11, 1.211, 81


3.
# Dy8Tm3Pu2
Computed X-ray diffraction stick pattern, CuKα. Input: a cell relaxed with PBE.
Kinematic intensities with the Lorentz-polarization factor, no thermal factor.

Structural model:
a = 7.3787 Å, b = 5.6194 Å, c = 10.6434 Å
α = 90.00°, β = 110.22°, γ = 90.00°
Element x y z (fractional)
Dy: 0.1061 0.0000 0.2774
Dy: 0.1756 0.5000 0.8518
Dy: 0.3286 0.0000 0.7227
Dy: 0.3602 0.5000 0.2202
Dy: 0.6398 0.5000 0.7798
Dy: 0.6714 0.0000 0.2773
Dy: 0.8244 0.5000 0.1482
Dy: 0.8939 0.0000 0.7226
Tm: 0.2262 0.5000 0.5001
Tm: 0.5000 0.0000 0.5000
Tm: 0.7738 0.5000 0.4999
Pu: 0.2579 0.0000 0.0160
Pu: 0.7421 0.0000 0.9840

Most intense lines, 2θ = 10–80°, sorted by position:
Position (°2θ), d [Å], Rel. int.
25.74, 3.461, 271
30.00, 2.979, 246
31.23, 2.864, 348
31.85, 2.810, 428
34.17, 2.624, 1000
35.97, 2.497, 119
41.39, 2.181, 156
49.42, 1.844, 145
58.25, 1.584, 223
59.99, 1.542, 111


4.
# Dy4Y6Pu
Computed X-ray diffraction stick pattern, CuKα. Input: a cell relaxed with PBE.
Kinematic intensities with the Lorentz-polarization factor, no thermal factor.

Structural model:
a = 8.7226 Å, b = 8.7226 Å, c = 9.1366 Å
α = 90.00°, β = 90.00°, γ = 90.00°
Element x y z (fractional)
Dy: 0.1447 0.3553 0.2500
Dy: 0.1447 0.3553 0.7500
Dy: 0.3553 0.8553 0.2500
Dy: 0.3553 0.8553 0.7500
Dy: 0.6447 0.1447 0.2500
Dy: 0.6447 0.1447 0.7500
Dy: 0.8553 0.6447 0.2500
Dy: 0.8553 0.6447 0.7500
Y: 0.0000 0.0000 0.1717
Y: 0.0000 0.0000 0.8283
Y: 0.1532 0.6537 0.0000
Y: 0.1537 0.6532 0.5000
Y: 0.3463 0.1532 0.0000
Y: 0.3468 0.1537 0.5000
Y: 0.5000 0.5000 0.3283
Y: 0.5000 0.5000 0.6717
Y: 0.6532 0.8463 0.5000
Y: 0.6537 0.8468 0.0000
Y: 0.8463 0.3468 0.5000
Y: 0.8468 0.3463 0.0000
Pu: 0.0000 0.0000 0.5000
Pu: 0.5000 0.5000 0.0000

Most intense lines, 2θ = 10–80°, sorted by position:
Position (°2θ), d [Å], Rel. int.
28.95, 3.084, 116
30.13, 2.967, 1000
31.10, 2.875, 133
32.46, 2.758, 660
37.46, 2.401, 162
39.45, 2.284, 139
46.56, 1.950, 107
51.98, 1.759, 194
60.65, 1.527, 262
65.84, 1.418, 109